Starting from a crystal structure in Alexandria, relaxed with PBE, the XRD peak list of YIn2Co8 was calculated for Cu Kα X-rays.
Lines closer than 0.1° are merged.

Largest 10 diffraction maxima, by angle, 10° ≤ 2θ ≤ 90°:
two_theta, I_rel
24.67, 12
32.91, 12
41.56, 100
43.69, 19
46.02, 7
50.58, 28
69.01, 18
74.33, 8
78.79, 10
88.95, 20

Cell and atoms:
```
data_YIn2Co8
_chemical_formula_sum 'Y1 In2 Co8'
_space_group_name_H-M_alt 'P 4/m m m'
_space_group_IT_number 123
_space_group_name_Hall '-P 4 2'
_cell_length_a 3.609
_cell_length_b 3.609
_cell_length_c 12.431
_cell_angle_alpha 90.00
_cell_angle_beta 90.00
_cell_angle_gamma 90.00
loop_
_atom_site_label
_atom_site_type_symbol
_atom_site_fract_x
_atom_site_fract_y
_atom_site_fract_z
Y1 Y 0.000 0.000 0.000
In1 In 0.000 0.000 0.342
Co1 Co 0.000 0.500 0.183
Co2 Co 0.000 0.500 0.500
Co3 Co 0.500 0.500 0.342
```